Record 1
Ca2La3Bi3: calculated XRD peak list (Cu Kα, 1.54184 Å), based on DFT lattice parameters and positions (PBE).
Lines closer than 0.1° are merged.

The 6 most intense peaks (5° ≤ 2θ ≤ 70°), sorted by position:
- d 4.773, I 31
- d 3.419, I 41
- d 2.842, I 100
- d 2.780, I 39
- d 2.756, I 27
- d 1.842, I 29

Atomic structure:
a b c (Å): 9.546 9.546 6.838
angles (deg): 90.00 90.00 120.00
Sites, in units of the cell vectors:
Ca (0.333, 0.667, 0.000)
Ca (0.333, 0.667, 0.500)
Ca (0.667, 0.333, 0.000)
Ca (0.667, 0.333, 0.500)
La (0.000, 0.246, 0.250)
La (0.000, 0.754, 0.750)
La (0.246, 0.000, 0.250)
La (0.246, 0.246, 0.750)
La (0.754, 0.000, 0.750)
La (0.754, 0.754, 0.250)
Bi (0.000, 0.393, 0.750)
Bi (0.000, 0.607, 0.250)
Bi (0.393, 0.000, 0.750)
Bi (0.393, 0.393, 0.250)
Bi (0.607, 0.000, 0.250)
Bi (0.607, 0.607, 0.750)

=====

Record 2
SrCaLaBiO6: calculated XRD peak list (Cu Kα, 1.54184 Å), based on DFT lattice parameters and positions (PBE).
Lines closer than 0.1° are merged.

The 6 most intense peaks (5° ≤ 2θ ≤ 70°), sorted by position:
- d 4.910, I 55
- d 3.017, I 100
- d 2.986, I 61
- d 2.111, I 28
- d 1.748, I 26
- d 1.730, I 49

Atomic structure:
a b c (Å): 5.971 5.971 8.626
angles (deg): 90.00 90.00 90.00
Sites, in units of the cell vectors:
Sr (0.000, 0.500, 0.250)
Sr (0.500, 0.000, 0.750)
Ca (0.000, 0.000, 0.000)
Ca (0.500, 0.500, 0.500)
La (0.000, 0.500, 0.750)
La (0.500, 0.000, 0.250)
Bi (0.000, 0.000, 0.500)
Bi (0.500, 0.500, 0.000)
O (0.000, 0.000, 0.256)
O (0.000, 0.000, 0.744)
O (0.158, 0.320, 0.514)
O (0.180, 0.342, 0.986)
O (0.320, 0.842, 0.486)
O (0.342, 0.820, 0.014)
O (0.500, 0.500, 0.244)
O (0.500, 0.500, 0.756)
O (0.658, 0.180, 0.014)
O (0.680, 0.158, 0.486)
O (0.820, 0.658, 0.986)
O (0.842, 0.680, 0.514)

=====

Record 3
Li2Ca4Bi5: calculated XRD peak list (Cu Kα, 1.54184 Å), based on DFT lattice parameters and positions (PBE).
Lines closer than 0.1° are merged.

The 6 most intense peaks (5° ≤ 2θ ≤ 70°), sorted by position:
- d 4.460, I 100
- d 3.942, I 63
- d 3.631, I 72
- d 3.153, I 62
- d 2.865, I 89
- d 2.211, I 61

Atomic structure:
a b c (Å): 11.462 11.462 11.462
angles (deg): 128.08 63.65 145.80
Sites, in units of the cell vectors:
Li (0.049, 0.250, 0.799)
Li (0.451, 0.250, 0.201)
Li (0.549, 0.750, 0.799)
Li (0.951, 0.750, 0.201)
Ca (0.062, 0.249, 0.311)
Ca (0.148, 0.616, 0.764)
Ca (0.352, 0.116, 0.468)
Ca (0.438, 0.749, 0.187)
Ca (0.562, 0.251, 0.813)
Ca (0.648, 0.884, 0.532)
Ca (0.852, 0.384, 0.236)
Ca (0.938, 0.751, 0.689)
Bi (0.076, 0.937, 0.014)
Bi (0.220, 0.316, 0.536)
Bi (0.250, 0.750, 0.500)
Bi (0.280, 0.816, 0.096)
Bi (0.424, 0.437, 0.861)
Bi (0.576, 0.563, 0.139)
Bi (0.720, 0.184, 0.904)
Bi (0.750, 0.250, 0.500)
Bi (0.780, 0.684, 0.464)
Bi (0.924, 0.063, 0.986)

=====

Record 4
Li7Ca3Bi4: calculated XRD peak list (Cu Kα, 1.54184 Å), based on DFT lattice parameters and positions (PBE).
Lines closer than 0.1° are merged.

The 6 most intense peaks (5° ≤ 2θ ≤ 70°), sorted by position:
- d 4.281, I 74
- d 3.949, I 54
- d 3.648, I 47
- d 3.629, I 100
- d 3.519, I 87
- d 2.419, I 64

Atomic structure:
a b c (Å): 8.825 8.825 11.472
angles (deg): 129.85 129.85 31.42
Sites, in units of the cell vectors:
Li (0.000, 0.000, 0.000)
Li (0.165, 0.165, 0.901)
Li (0.327, 0.327, 0.490)
Li (0.471, 0.471, 0.194)
Li (0.529, 0.529, 0.806)
Li (0.673, 0.673, 0.510)
Li (0.835, 0.835, 0.099)
Ca (0.000, 0.000, 0.500)
Ca (0.308, 0.308, 0.761)
Ca (0.692, 0.692, 0.239)
Bi (0.096, 0.096, 0.322)
Bi (0.322, 0.322, 0.237)
Bi (0.678, 0.678, 0.763)
Bi (0.904, 0.904, 0.678)

=====

Record 5
Li3CaBi: calculated XRD peak list (Cu Kα, 1.54184 Å), based on DFT lattice parameters and positions (PBE).
Lines closer than 0.1° are merged.

The 6 most intense peaks (5° ≤ 2θ ≤ 70°), sorted by position:
- d 7.431, I 100
- d 5.228, I 56
- d 3.862, I 69
- d 3.786, I 64
- d 3.316, I 47
- d 2.347, I 35

Atomic structure:
a b c (Å): 7.906 7.358 9.395
angles (deg): 90.00 109.98 90.00
Sites, in units of the cell vectors:
Li (0.025, 0.195, 0.005)
Li (0.025, 0.305, 0.505)
Li (0.298, 0.005, 0.343)
Li (0.298, 0.495, 0.843)
Li (0.388, 0.684, 0.596)
Li (0.388, 0.816, 0.096)
Li (0.612, 0.184, 0.904)
Li (0.612, 0.316, 0.404)
Li (0.702, 0.505, 0.157)
Li (0.702, 0.995, 0.657)
Li (0.975, 0.695, 0.495)
Li (0.975, 0.805, 0.995)
Ca (0.215, 0.001, 0.770)
Ca (0.215, 0.499, 0.270)
Ca (0.785, 0.501, 0.730)
Ca (0.785, 0.999, 0.230)
Bi (0.397, 0.225, 0.097)
Bi (0.397, 0.275, 0.597)
Bi (0.603, 0.725, 0.403)
Bi (0.603, 0.775, 0.903)

=====

Record 6
NaLi2CaBi2: calculated XRD peak list (Cu Kα, 1.54184 Å), based on DFT lattice parameters and positions (PBE).
Lines closer than 0.1° are merged.

The 6 most intense peaks (5° ≤ 2θ ≤ 70°), sorted by position:
- d 3.688, I 100
- d 2.775, I 31
- d 2.468, I 35
- d 2.114, I 23
- d 2.051, I 21
- d 2.044, I 22

Atomic structure:
a b c (Å): 4.935 4.935 7.297
angles (deg): 90.00 90.00 120.00
Sites, in units of the cell vectors:
Na (0.000, 0.000, 0.000)
Li (0.333, 0.667, 0.807)
Li (0.667, 0.333, 0.193)
Ca (0.000, 0.000, 0.500)
Bi (0.333, 0.667, 0.257)
Bi (0.667, 0.333, 0.743)

=====

Record 7
Li2CaPr2Bi2: calculated XRD peak list (Cu Kα, 1.54184 Å), based on DFT lattice parameters and positions (PBE).
Lines closer than 0.1° are merged.

The 6 most intense peaks (5° ≤ 2θ ≤ 70°), sorted by position:
- d 4.095, I 93
- d 3.413, I 32
- d 2.938, I 82
- d 2.726, I 92
- d 2.470, I 100
- d 1.499, I 41

Atomic structure:
a b c (Å): 9.852 9.852 9.852
angles (deg): 29.04 29.04 29.04
Sites, in units of the cell vectors:
Li (0.093, 0.093, 0.093)
Li (0.907, 0.907, 0.907)
Ca (0.500, 0.500, 0.500)
Pr (0.369, 0.369, 0.369)
Pr (0.631, 0.631, 0.631)
Bi (0.236, 0.236, 0.236)
Bi (0.764, 0.764, 0.764)

=====

Record 8
LiCaBi2Rh: calculated XRD peak list (Cu Kα, 1.54184 Å), based on DFT lattice parameters and positions (PBE).
Lines closer than 0.1° are merged.

The 6 most intense peaks (5° ≤ 2θ ≤ 70°), sorted by position:
- d 5.190, I 45
- d 4.330, I 33
- d 3.732, I 78
- d 3.187, I 100
- d 2.567, I 56
- d 2.366, I 50

Atomic structure:
a b c (Å): 9.110 9.110 5.190
angles (deg): 90.00 90.00 143.88
Sites, in units of the cell vectors:
Li (0.000, 0.000, 0.000)
Li (0.500, 0.500, 0.000)
Ca (0.250, 0.750, 0.771)
Ca (0.750, 0.250, 0.229)
Bi (0.125, 0.875, 0.306)
Bi (0.375, 0.625, 0.306)
Bi (0.625, 0.375, 0.694)
Bi (0.875, 0.125, 0.694)
Rh (0.250, 0.250, 0.500)
Rh (0.750, 0.750, 0.500)

=====

Record 9
Ca5Mg2Bi5: calculated XRD peak list (Cu Kα, 1.54184 Å), based on DFT lattice parameters and positions (PBE).
Lines closer than 0.1° are merged.

The 6 most intense peaks (5° ≤ 2θ ≤ 70°), sorted by position:
- d 3.994, I 100
- d 3.174, I 27
- d 2.663, I 23
- d 2.244, I 29
- d 1.883, I 28
- d 1.547, I 27

Atomic structure:
a b c (Å): 8.332 8.332 8.332
angles (deg): 102.25 102.25 125.15
Sites, in units of the cell vectors:
Ca (0.000, 0.000, 0.000)
Ca (0.223, 0.223, 0.591)
Ca (0.223, 0.632, 0.000)
Ca (0.632, 0.223, 0.000)
Ca (0.632, 0.632, 0.409)
Mg (0.365, 0.865, 0.500)
Mg (0.865, 0.365, 0.500)
Bi (0.117, 0.409, 0.292)
Bi (0.117, 0.825, 0.708)
Bi (0.409, 0.117, 0.292)
Bi (0.582, 0.582, 0.000)
Bi (0.825, 0.117, 0.708)

=====

Record 10
Ca2MgBi2: calculated XRD peak list (Cu Kα, 1.54184 Å), based on DFT lattice parameters and positions (PBE).
Lines closer than 0.1° are merged.

The 6 most intense peaks (5° ≤ 2θ ≤ 70°), sorted by position:
- d 3.952, I 53
- d 3.757, I 100
- d 3.716, I 88
- d 3.669, I 98
- d 2.881, I 42
- d 2.430, I 70

Atomic structure:
a b c (Å): 9.712 8.421 7.908
angles (deg): 90.00 91.88 90.00
Sites, in units of the cell vectors:
Ca (0.092, 0.245, 0.007)
Ca (0.092, 0.255, 0.507)
Ca (0.342, 0.708, 0.492)
Ca (0.342, 0.792, 0.992)
Ca (0.658, 0.208, 0.008)
Ca (0.658, 0.292, 0.508)
Ca (0.908, 0.745, 0.493)
Ca (0.908, 0.755, 0.993)
Mg (0.380, 0.083, 0.338)
Mg (0.380, 0.417, 0.838)
Mg (0.620, 0.583, 0.162)
Mg (0.620, 0.917, 0.662)
Bi (0.123, 0.569, 0.755)
Bi (0.123, 0.931, 0.255)
Bi (0.368, 0.089, 0.727)
Bi (0.368, 0.411, 0.227)
Bi (0.632, 0.589, 0.773)
Bi (0.632, 0.911, 0.273)
Bi (0.877, 0.069, 0.745)
Bi (0.877, 0.431, 0.245)

=====

Record 11
CaMg14Bi: calculated XRD peak list (Cu Kα, 1.54184 Å), based on DFT lattice parameters and positions (PBE).
Lines closer than 0.1° are merged.

The 6 most intense peaks (5° ≤ 2θ ≤ 70°), sorted by position:
- d 10.570, I 88
- d 5.065, I 39
- d 4.937, I 51
- d 2.793, I 43
- d 2.532, I 53
- d 2.469, I 100

Atomic structure:
a b c (Å): 10.570 6.594 6.594
angles (deg): 57.87 90.00 90.00
Sites, in units of the cell vectors:
Ca (0.000, 0.000, 0.000)
Mg (0.000, 0.003, 0.496)
Mg (0.000, 0.496, 0.003)
Mg (0.248, 0.667, 0.667)
Mg (0.256, 0.166, 0.166)
Mg (0.261, 0.159, 0.663)
Mg (0.261, 0.663, 0.159)
Mg (0.500, 0.002, 0.002)
Mg (0.500, 0.502, 0.998)
Mg (0.500, 0.503, 0.503)
Mg (0.500, 0.998, 0.502)
Mg (0.739, 0.159, 0.663)
Mg (0.739, 0.663, 0.159)
Mg (0.744, 0.166, 0.166)
Mg (0.752, 0.667, 0.667)
Bi (0.000, 0.494, 0.494)

=====

Record 12
Ca5MgBi4: calculated XRD peak list (Cu Kα, 1.54184 Å), based on DFT lattice parameters and positions (PBE).
Lines closer than 0.1° are merged.

The 6 most intense peaks (5° ≤ 2θ ≤ 70°), sorted by position:
- d 4.068, I 100
- d 3.630, I 56
- d 3.238, I 37
- d 2.826, I 74
- d 2.741, I 54
- d 2.076, I 40

Atomic structure:
a b c (Å): 8.666 8.666 8.666
angles (deg): 147.65 105.77 83.31
Sites, in units of the cell vectors:
Ca (0.000, 0.000, 0.000)
Ca (0.160, 0.845, 0.315)
Ca (0.471, 0.155, 0.315)
Ca (0.529, 0.845, 0.685)
Ca (0.840, 0.155, 0.685)
Mg (0.500, 0.500, 0.000)
Bi (0.214, 0.500, 0.714)
Bi (0.259, 0.259, 0.000)
Bi (0.741, 0.741, 0.000)
Bi (0.786, 0.500, 0.286)